Record 1
Dy2Zr2O7: theoretical X-ray powder pattern (copper Kα), based on DFT lattice parameters and positions (PBE).
Intensities are scaled so that the largest is 100.

Top 6 peaks for 2θ from 5° to 70°, by intensity:
2θ = 29.22°, d = 3.056 Å, I 100, (2 2 2); 2θ = 48.65°, d = 1.872 Å, I 49, (4 4 0); 2θ = 57.77°, d = 1.596 Å, I 43, (6 2 2); 2θ = 33.87°, d = 2.647 Å, I 32, (4 0 0); 2θ = 60.60°, d = 1.528 Å, I 9, (4 4 4); 2θ = 14.49°, d = 6.112 Å, I 7, (1 1 1)

Crystal structure
Cell lengths 10.5868, 10.5868, 10.5868 Å; angles 90.00, 90.00, 90.00 degrees
Space group Fd-3m (No. 227, origin choice 2)
Inequivalent atoms, fractional coordinates:
1 Dy 0.0000 0.0000 0.0000 (multiplicity 16)
2 Zr 0.0000 0.0000 0.5000 (multiplicity 16)
3 O 0.0911 0.3750 0.8750 (multiplicity 48)
4 O 0.1250 0.1250 0.1250 (multiplicity 8)

***

Record 2
DyOs3: theoretical X-ray powder pattern (copper Kα), based on DFT lattice parameters and positions (PBE).
Intensities are scaled so that the largest is 100.

Top 6 peaks for 2θ from 5° to 70°, by intensity:
2θ = 40.71°, d = 2.216 Å, I 100, (2 0 1); 2θ = 39.10°, d = 2.304 Å, I 25, (0 0 2); 2θ = 35.52°, d = 2.528 Å, I 24, (2 0 0); 2θ = 63.78°, d = 1.459 Å, I 17, (2 2 0); 2θ = 53.84°, d = 1.703 Å, I 15, (2 0 2); 2θ = 17.54°, d = 5.055 Å, I 3, (1 0 0)

Crystal structure
Cell lengths 5.8374, 5.8374, 4.6074 Å; angles 90.00, 90.00, 120.00 degrees
Space group P6_3/mmc (No. 194)
Inequivalent atoms, fractional coordinates:
1 Dy 0.3333 0.6667 0.2500 (multiplicity 2)
2 Os 0.1575 0.3150 0.7500 (multiplicity 6)

***

Record 3
DySi2Os2: theoretical X-ray powder pattern (copper Kα), based on DFT lattice parameters and positions (PBE).
Intensities are scaled so that the largest is 100.

Top 6 peaks for 2θ from 5° to 70°, by intensity:
2θ = 35.61°, d = 2.521 Å, I 100, (1 1 2); 2θ = 43.28°, d = 2.090 Å, I 36, (2 0 0); 2θ = 18.37°, d = 4.830 Å, I 21, (0 0 2); 2θ = 66.08°, d = 1.414 Å, I 20, (1 1 6); 2θ = 58.39°, d = 1.581 Å, I 20, (2 0 4); 2θ = 37.23°, d = 2.415 Å, I 18, (0 0 4)

Crystal structure
Cell lengths 4.1807, 4.1807, 9.6606 Å; angles 90.00, 90.00, 90.00 degrees
Space group I4/mmm (No. 139)
Inequivalent atoms, fractional coordinates:
1 Dy 0.0000 0.0000 0.0000 (multiplicity 2)
2 Si 0.0000 0.0000 0.3718 (multiplicity 4)
3 Os 0.0000 0.5000 0.2500 (multiplicity 4)

***

Record 4
DyTaOs2: theoretical X-ray powder pattern (copper Kα), based on DFT lattice parameters and positions (PBE).
Intensities are scaled so that the largest is 100.

Top 2 peaks for 2θ from 5° to 70°, by intensity:
2θ = 38.79°, d = 2.322 Å, I 100, (2 2 0); 2θ = 56.01°, d = 1.642 Å, I 17, (4 0 0)

Crystal structure
Cell lengths 6.5669, 6.5669, 6.5669 Å; angles 90.00, 90.00, 90.00 degrees
Space group Fm-3m (No. 225)
Inequivalent atoms, fractional coordinates:
1 Dy 0.0000 0.0000 0.0000 (multiplicity 4)
2 Ta 0.0000 0.0000 0.5000 (multiplicity 4)
3 Os 0.2500 0.2500 0.2500 (multiplicity 8)